The following is a theoretical XRD peak list of ZrN. It was derived from the GGA-PBE geometry in the Materials Project, using Cu Kα.
Lines closer than 0.1° are merged.

The 8 most intense peaks (15° ≤ 2θ ≤ 90°), sorted by position:
| d (Å) | 2θ (°) | I/Imax | hkl |
| --- | --- | --- | --- |
| 2.935 | 30.45 | 32 | 0 0 1 |
| 2.729 | 32.82 | 96 | 1 0 0 |
| 1.999 | 45.38 | 100 | 1 0 1 |
| 1.575 | 58.59 | 25 | 1 1 0 |
| 1.388 | 67.47 | 20 | 1 1 1 |
| 1.364 | 68.81 | 11 | 2 0 0 |
| 1.293 | 73.23 | 18 | 1 0 2 |
| 1.237 | 77.08 | 19 | 2 0 1 |

Atomic structure:
```
ZrN
1.0
3.1509 0.0000 0.0000
-1.5755 2.7288 0.0000
0.0000 0.0000 2.9353
Zr N
1 1
direct
0.0000 0.0000 0.0000
0.3333 0.6667 0.5000
```

=====

The following is a theoretical XRD peak list of ZrN. It was derived from the GGA-PBE geometry in the Materials Project, using Cu Kα.
Lines closer than 0.1° are merged.

The 8 most intense peaks (15° ≤ 2θ ≤ 90°), sorted by position:
| d (Å) | 2θ (°) | I/Imax | hkl |
| --- | --- | --- | --- |
| 2.855 | 31.33 | 30 | 0 0 2 |
| 2.786 | 32.13 | 100 | 1 0 0 |
| 1.994 | 45.50 | 98 | 1 0 2 |
| 1.608 | 57.28 | 27 | 1 1 0 |
| 1.401 | 66.76 | 21 | 1 1 2 |
| 1.393 | 67.21 | 12 | 2 0 0 |
| 1.270 | 74.73 | 17 | 1 0 4 |
| 1.252 | 76.03 | 20 | 2 0 2 |

Atomic structure:
```
ZrN
1.0
3.2166 0.0000 0.0000
-1.6083 2.7857 0.0000
0.0000 0.0000 5.7094
Zr N
2 2
direct
0.0000 0.0000 0.0000
0.0000 0.0000 0.5000
0.3333 0.6667 0.2500
0.6667 0.3333 0.7500
```

=====

The following is a theoretical XRD peak list of ZrN. It was derived from the GGA-PBE geometry in the Materials Project, using Cu Kα.
Lines closer than 0.1° are merged.

The 8 most intense peaks (15° ≤ 2θ ≤ 90°), sorted by position:
| d (Å) | 2θ (°) | I/Imax | hkl |
| --- | --- | --- | --- |
| 2.778 | 32.22 | 11 | 1 0 0 |
| 2.760 | 32.44 | 22 | 0 0 2 |
| 2.481 | 36.20 | 100 | 1 0 1 |
| 1.958 | 46.37 | 26 | 1 0 2 |
| 1.604 | 57.46 | 21 | 1 1 0 |
| 1.534 | 60.33 | 22 | 1 0 3 |
| 1.387 | 67.55 | 16 | 1 1 2 |
| 1.347 | 69.83 | 14 | 2 0 1 |

Atomic structure:
```
ZrN
1.0
3.2076 0.0000 0.0000
-1.6038 2.7779 0.0000
0.0000 0.0000 5.5204
Zr N
2 2
direct
0.3333 0.6667 0.2500
0.6667 0.3333 0.7500
0.0000 0.0000 0.0000
0.0000 0.0000 0.5000
```

=====

The following is a theoretical XRD peak list of ZrN. It was derived from the GGA-PBE geometry in the Materials Project, using Cu Kα.
Lines closer than 0.1° are merged.

The 8 most intense peaks (15° ≤ 2θ ≤ 90°), sorted by position:
| d (Å) | 2θ (°) | I/Imax | hkl |
| --- | --- | --- | --- |
| 2.881 | 31.04 | 100 | 1 1 1 |
| 2.495 | 35.99 | 36 | 2 0 0 |
| 1.764 | 51.81 | 42 | 2 2 0 |
| 1.505 | 61.64 | 39 | 3 1 1 |
| 1.441 | 64.70 | 9 | 2 2 2 |
| 1.248 | 76.32 | 6 | 4 0 0 |
| 1.145 | 84.65 | 16 | 3 3 1 |
| 1.116 | 87.39 | 12 | 4 2 0 |

Atomic structure:
```
ZrN
1.0
4.9908 0.0000 0.0000
0.0000 4.9908 0.0000
0.0000 0.0000 4.9908
Zr N
4 4
direct
0.0000 0.0000 0.0000
0.0000 0.5000 0.5000
0.5000 0.0000 0.5000
0.5000 0.5000 0.0000
0.2500 0.2500 0.7500
0.2500 0.7500 0.2500
0.7500 0.2500 0.2500
0.7500 0.7500 0.7500
```

=====

The following is a theoretical XRD peak list of ZrN. It was derived from the GGA-PBE geometry in the Materials Project, using Cu Kα.
Lines closer than 0.1° are merged.

The 8 most intense peaks (15° ≤ 2θ ≤ 90°), sorted by position:
| d (Å) | 2θ (°) | I/Imax | hkl |
| --- | --- | --- | --- |
| 2.779 | 32.21 | 11 | 1 0 0 |
| 2.758 | 32.46 | 22 | 0 0 2 |
| 2.482 | 36.19 | 100 | 0 1 1 |
| 1.958 | 46.38 | 26 | 1 0 2 |
| 1.605 | 57.43 | 21 | 1 1 0 |
| 1.534 | 60.36 | 22 | 0 1 3 |
| 1.387 | 67.54 | 16 | 1 1 2 |
| 1.347 | 69.80 | 14 | 2 0 1 |

Atomic structure:
```
ZrN
1.0
3.2090 0.0000 0.0000
-1.6045 2.7791 0.0000
0.0000 0.0000 5.5169
Zr N
2 2
direct
0.3333 0.6667 0.2547
0.6667 0.3333 0.7453
0.0000 0.0000 0.0000
0.0000 0.0000 0.5000
```

=====

The following is a theoretical XRD peak list of ZrN. It was derived from the GGA-PBE geometry in the Materials Project, using Cu Kα.
Lines closer than 0.1° are merged.

The 6 most intense peaks (15° ≤ 2θ ≤ 90°), sorted by position:
| d (Å) | 2θ (°) | I/Imax | hkl |
| --- | --- | --- | --- |
| 2.854 | 31.35 | 78 | 1 0 0 |
| 2.018 | 44.92 | 100 | 1 1 0 |
| 1.648 | 55.80 | 21 | 1 1 1 |
| 1.427 | 65.41 | 15 | 2 0 0 |
| 1.276 | 74.32 | 27 | 2 1 0 |
| 1.165 | 82.86 | 30 | 2 1 1 |

Atomic structure:
```
ZrN
1.0
2.8538 0.0000 0.0000
0.0000 2.8538 0.0000
0.0000 0.0000 2.8538
Zr N
1 1
direct
0.0000 0.0000 0.0000
0.5000 0.5000 0.5000
```